Record 1
For HoTlCoCl6, a structure optimized by DFT (PBE) gives the theoretical powder diffraction line list in this record (λ = 1.5418 Å (Cu Kα)).
Peak positions follow from Bragg's law for the DFT cell and can differ from measured ones.

Principal peaks in the range 5° ≤ 2θ ≤ 70°, in order of rising 2θ:
2θ/deg  I/Imax
19.80  100
26.84  22
29.63  8
33.55  16
36.91  45
40.93  9
43.49  24
47.45  11

Crystal structure
```
9
Lattice="3.3156 -5.7626 0.0000 3.3156 5.7626 0.0000 -0.0298 0.0000 7.1556" Properties=species:S:1:pos:R:3 pbc="T T T"
Ho 0.0000 0.0000 0.0000
Tl 3.3007 1.9206 3.5778
Co 3.3156 -1.9231 0.0000
Cl 1.3215 -1.7699 1.4487
Cl 2.1610 -0.2829 5.7073
Cl 4.4405 -0.2829 1.4482
Cl 2.4756 -3.7346 5.6803
Cl 4.1258 -3.7346 1.4753
Cl 5.2800 -1.7699 5.7069
```


Record 2
For Li15CdHg4, a structure optimized by DFT (PBE) gives the theoretical powder diffraction line list in this record (λ = 1.5418 Å (Cu Kα)).
Peak positions follow from Bragg's law for the DFT cell and can differ from measured ones.

Principal peaks in the range 5° ≤ 2θ ≤ 70°, in order of rising 2θ:
2θ/deg  I/Imax
20.65  100
22.99  39
29.37  43
31.10  74
37.63  56
47.26  24
48.44  22
53.19  34

Crystal structure
```
20
Lattice="4.3003 0.0000 0.0000 0.0000 4.3003 0.0000 0.0000 0.0000 19.3405" Properties=species:S:1:pos:R:3 pbc="T T T"
Li 0.0000 0.0000 0.0000
Li 0.0000 0.0000 3.9005
Li 0.0000 0.0000 7.7326
Li 0.0000 0.0000 11.6079
Li 0.0000 0.0000 15.4400
Li 0.0000 2.1502 1.9952
Li 0.0000 2.1502 5.8055
Li 0.0000 2.1502 9.6702
Li 0.0000 2.1502 13.5349
Li 0.0000 2.1502 17.3453
Li 2.1502 0.0000 1.9952
Li 2.1502 0.0000 5.8055
Li 2.1502 0.0000 9.6702
Li 2.1502 0.0000 13.5349
Li 2.1502 0.0000 17.3453
Cd 2.1502 2.1502 0.0000
Hg 2.1502 2.1502 3.8793
Hg 2.1502 2.1502 7.7361
Hg 2.1502 2.1502 11.6044
Hg 2.1502 2.1502 15.4612
```


Record 3
For TbHo5Ru6, a structure optimized by DFT (PBE) gives the theoretical powder diffraction line list in this record (λ = 1.5418 Å (Cu Kα)).
Peak positions follow from Bragg's law for the DFT cell and can differ from measured ones.

Principal peaks in the range 5° ≤ 2θ ≤ 70°, in order of rising 2θ:
2θ/deg  I/Imax
26.31  7
37.52  100
37.67  20
54.04  7
54.20  14
67.66  21
67.74  7
67.90  14

Crystal structure
```
12
Lattice="-2.3987 3.3937 7.1644 2.3987 -3.3937 7.1644 2.3987 3.3937 -7.1644" Properties=species:S:1:pos:R:3 pbc="T T T"
Tb 0.0000 0.0000 0.0000
Ho 2.3987 0.0000 2.3960
Ho 0.0000 0.0000 4.7765
Ho 0.0000 3.3937 0.0000
Ho 0.0000 0.0000 9.5523
Ho 0.0000 3.3937 4.7684
Ru 2.3987 -1.6948 4.7710
Ru 2.3987 1.7026 0.0000
Ru 0.0000 1.6989 2.3934
Ru 2.3987 1.6948 4.7710
Ru 0.0000 1.6911 7.1644
Ru 0.0000 5.0885 2.3934
```


Record 4
For CoTc4C, a structure optimized by DFT (PBE) gives the theoretical powder diffraction line list in this record (λ = 1.5418 Å (Cu Kα)).
Peak positions follow from Bragg's law for the DFT cell and can differ from measured ones.

Principal peaks in the range 5° ≤ 2θ ≤ 70°, in order of rising 2θ:
2θ/deg  I/Imax
33.31  42
35.45  60
38.27  100
41.46  35
42.18  71
42.39  69
42.61  44
48.31  39

Crystal structure
```
12
Lattice="3.3017 -5.6392 0.0000 3.3017 5.6392 0.0000 -3.0351 0.0000 4.2643" Properties=species:S:1:pos:R:3 pbc="T T T"
Co 1.0255 4.2054 3.1982
Co 2.5430 -4.2054 1.0661
Tc 1.2793 2.4938 1.2863
Tc -0.7032 0.5451 3.3490
Tc 0.8143 -0.5451 1.2168
Tc 3.8067 2.4938 0.8459
Tc -0.2383 -2.4938 3.4184
Tc 2.7541 0.5451 3.0475
Tc 4.2717 -0.5451 0.9153
Tc 2.2892 -2.4938 2.9780
C 2.5430 0.7375 1.0661
C 1.0255 -0.7375 3.1982
```